Entry 1:
Simulated powder X-ray diffraction pattern of Li3TeSe4 for CuKα, from DFT lattice parameters and positions (PBE).
Lines closer than 0.1° are merged.

Main lines, sorted by position (5° ≤ 2θ ≤ 70°):
hkl 1 1 0, d 6.634, intensity 365; hkl 2 2 0, d 3.317, intensity 168; hkl 1 1 1, d 3.241, intensity 135; hkl 0 2 1, d 3.086, intensity 139; hkl 2 0 1, d 2.767, intensity 1000; hkl 4 0 0, d 2.070, intensity 143; hkl 2 4 1, d 1.958, intensity 480; hkl 4 4 0, d 1.659, intensity 141

Structure:
```
data_Li3TeSe4
_chemical_formula_sum 'Li6 Te2 Se8'
_cell_length_a 8.2785
_cell_length_b 11.0905
_cell_length_c 3.7139
_cell_angle_alpha 90.00
_cell_angle_beta 90.00
_cell_angle_gamma 90.00
_space_group_name_H-M_alt 'C m m m'
_space_group_IT_number 65
_space_group_name_Hall '-C 2 2'
loop_
_atom_site_label
_atom_site_type_symbol
_atom_site_fract_x
_atom_site_fract_y
_atom_site_fract_z
_atom_site_occupancy
Li1 Li 0.0000 0.0000 0.0000 1
Li2 Li 0.2500 0.2500 0.5000 1
Te1 Te 0.0000 0.5000 0.0000 1
Se1 Se 0.0000 0.2492 0.0000 1
Se2 Se 0.2499 0.0000 0.5000 1
```



Entry 2:
Simulated powder X-ray diffraction pattern of LiTe2Se for CuKα, from DFT lattice parameters and positions (PBE).
Lines closer than 0.1° are merged.

Main lines, sorted by position (5° ≤ 2θ ≤ 70°):
hkl 1 0 -1, d 4.233, intensity 1000; hkl 0 1 0, d 3.901, intensity 214; hkl 0 1 1, d 3.238, intensity 321; hkl 1 1 -1, d 2.869, intensity 206; hkl 1 1 1, d 2.649, intensity 475; hkl 0 1 2, d 2.330, intensity 281; hkl 2 1 0, d 2.170, intensity 332; hkl 1 2 -1, d 1.771, intensity 176

Structure:
```
data_LiTe2Se
_chemical_formula_sum 'Li1 Te2 Se1'
_cell_length_a 5.2901
_cell_length_b 3.9009
_cell_length_c 5.8834
_cell_angle_alpha 90.00
_cell_angle_beta 99.16
_cell_angle_gamma 90.00
_space_group_name_H-M_alt 'P 1 2/m 1'
_space_group_IT_number 10
_space_group_name_Hall '-P 2y'
loop_
_atom_site_label
_atom_site_type_symbol
_atom_site_fract_x
_atom_site_fract_y
_atom_site_fract_z
_atom_site_occupancy
Li1 Li 0.0000 0.0000 0.0000 1
Te1 Te 0.2220 0.5000 0.6888 1
Se1 Se 0.5000 0.0000 0.0000 1
```